Structure and calculated powder X-ray diffraction pattern of Ta2VSe6 (the PBE geometry in Alexandria; Cu Kα (weighted mean of Kα1 and Kα2)).
Peak positions follow from Bragg's law for the DFT cell and can differ from measured ones.

Structural model:
Unit cell a=8.8451 b=8.8451 c=8.0620 alpha=114.25 beta=114.25 gamma=22.61
Element x y z (fractional)
Ta  0.1578  0.1578  0.3188
Ta  0.8422  0.8422  0.6812
V  0.5000  0.5000  0.0000
Se  0.0001  0.0001  0.2322
Se  0.9999  0.9999  0.7678
Se  0.3272  0.3272  0.4281
Se  0.3408  0.3408  0.9180
Se  0.6592  0.6592  0.0820
Se  0.6728  0.6728  0.5719

Main lines, in order of rising 2θ (5 to 70 degrees two-theta):
Position (°2θ)  I_rel
12.60  100.0
30.05  18.2
34.15  32.2
34.42  64.6
42.60  13.0
45.69  27.4
45.97  13.3
52.67  17.6
52.80  9.6
64.39  10.9

***

Structure and calculated powder X-ray diffraction pattern of AcTb6Dy2 (the PBE geometry in Alexandria; Cu Kα (weighted mean of Kα1 and Kα2)).
Peak positions follow from Bragg's law for the DFT cell and can differ from measured ones.

Structural model:
Unit cell a=3.6264 b=3.6264 c=26.5727 alpha=90.00 beta=90.00 gamma=120.00
Element x y z (fractional)
Ac  0.0000  0.0000  0.0000
Tb  0.0000  0.0000  0.2235
Tb  0.0000  0.0000  0.4353
Tb  0.0000  0.0000  0.5647
Tb  0.0000  0.0000  0.7765
Tb  0.3333  0.6667  0.1177
Tb  0.3333  0.6667  0.8823
Dy  0.3333  0.6667  0.3314
Dy  0.3333  0.6667  0.6686

Main lines, in order of rising 2θ (5 to 70 degrees two-theta):
Position (°2θ)  I_rel
28.42  53.7
30.27  56.0
31.51  86.5
33.13  100.0
35.03  14.4
42.00  34.3
50.32  42.2
56.66  24.7
59.86  46.5
61.58  17.0

***

Structure and calculated powder X-ray diffraction pattern of DyH6Ir (the PBE geometry in Alexandria; Cu Kα (weighted mean of Kα1 and Kα2)).
Peak positions follow from Bragg's law for the DFT cell and can differ from measured ones.

Structural model:
Unit cell a=4.6286 b=4.6286 c=4.6286 alpha=57.16 beta=57.16 gamma=57.16
Element x y z (fractional)
Dy  0.0000  0.0000  0.0000
H  0.0590  0.6018  0.6018
H  0.3982  0.3982  0.9410
H  0.3982  0.9410  0.3982
H  0.6018  0.0590  0.6018
H  0.6018  0.6018  0.0590
H  0.9410  0.3982  0.3982
Ir  0.5000  0.5000  0.5000

Main lines, in order of rising 2θ (5 to 70 degrees two-theta):
Position (°2θ)  I_rel
24.45  1.1
27.91  100.0
38.99  42.6
40.75  36.7
47.11  7.9
50.11  20.9
57.67  13.4
64.01  20.0
66.49  17.8
69.43  7.8

***

Structure and calculated powder X-ray diffraction pattern of NaGa7Pd2 (the PBE geometry in Alexandria; Cu Kα (weighted mean of Kα1 and Kα2)).
Peak positions follow from Bragg's law for the DFT cell and can differ from measured ones.

Structural model:
Unit cell a=6.8861 b=6.8861 c=4.6354 alpha=90.00 beta=90.00 gamma=99.04
Element x y z (fractional)
Na  0.0000  0.0000  0.0000
Ga  0.1073  0.3532  0.5000
Ga  0.3532  0.1073  0.5000
Ga  0.3543  0.6457  0.0000
Ga  0.5000  0.5000  0.5000
Ga  0.6457  0.3543  0.0000
Ga  0.6468  0.8927  0.5000
Ga  0.8927  0.6468  0.5000
Pd  0.2578  0.7422  0.5000
Pd  0.7422  0.2578  0.5000

Main lines, in order of rising 2θ (5 to 70 degrees two-theta):
Position (°2θ)  I_rel
13.02  36.0
19.15  86.1
33.66  25.2
38.86  46.9
39.90  33.3
40.35  38.2
44.61  100.0
45.03  15.3
56.91  22.8
57.26  27.4

***

Structure and calculated powder X-ray diffraction pattern of KPm2PuO8 (the PBE geometry in Alexandria; Cu Kα (weighted mean of Kα1 and Kα2)).
Peak positions follow from Bragg's law for the DFT cell and can differ from measured ones.

Structural model:
Unit cell a=4.1507 b=5.9901 c=7.3739 alpha=89.43 beta=74.05 gamma=87.05
Element x y z (fractional)
K  0.0000  0.0000  0.0000
Pm  0.3513  0.5219  0.2885
Pm  0.6487  0.4781  0.7115
Pu  0.5000  0.0000  0.5000
O  0.1781  0.4904  0.0010
O  0.2127  0.7929  0.6585
O  0.2143  0.3341  0.5794
O  0.3625  0.9233  0.2769
O  0.6375  0.0767  0.7231
O  0.7857  0.6659  0.4206
O  0.7873  0.2071  0.3415
O  0.8219  0.5096  0.9990

Main lines, in order of rising 2θ (5 to 70 degrees two-theta):
Position (°2θ)  I_rel
12.48  100.0
22.31  48.1
26.33  34.3
27.55  47.2
28.55  54.0
29.23  39.8
29.34  33.4
29.87  53.5
31.99  34.3
40.86  30.8

***

Structure and calculated powder X-ray diffraction pattern of Y4Ga6FeGe6 (the PBE geometry in Alexandria; Cu Kα (weighted mean of Kα1 and Kα2)).
Peak positions follow from Bragg's law for the DFT cell and can differ from measured ones.

Structural model:
Unit cell a=7.4642 b=7.4642 c=7.4642 alpha=109.47 beta=109.47 gamma=109.47
Element x y z (fractional)
Y  0.0000  0.0000  0.5000
Y  0.0000  0.5000  0.0000
Y  0.5000  0.0000  0.0000
Y  0.5000  0.5000  0.5000
Ga  0.2500  0.5000  0.7500
Ga  0.2500  0.7500  0.5000
Ga  0.5000  0.2500  0.7500
Ga  0.5000  0.7500  0.2500
Ga  0.7500  0.2500  0.5000
Ga  0.7500  0.5000  0.2500
Fe  0.0000  0.0000  0.0000
Ge  0.0000  0.2879  0.2879
Ge  0.0000  0.7121  0.7121
Ge  0.2879  0.0000  0.2879
Ge  0.2879  0.2879  0.0000
Ge  0.7121  0.0000  0.7121
Ge  0.7121  0.7121  0.0000

Main lines, in order of rising 2θ (5 to 70 degrees two-theta):
Position (°2θ)  I_rel
29.31  5.1
32.86  4.7
36.10  100.0
39.11  6.7
41.93  58.4
44.60  4.9
49.61  6.5
60.79  33.9
62.87  1.7
68.90  2.3

***

Structure and calculated powder X-ray diffraction pattern of Ho2Ge3Pt9 (the PBE geometry in Alexandria; Cu Kα (weighted mean of Kα1 and Kα2)).
Peak positions follow from Bragg's law for the DFT cell and can differ from measured ones.

Structural model:
Unit cell a=7.8078 b=7.8078 c=10.1086 alpha=112.88 beta=112.88 gamma=60.29
Element x y z (fractional)
Ho  0.0837  0.2537  0.2513
Ho  0.2537  0.0837  0.7513
Ho  0.7463  0.9163  0.2487
Ho  0.9163  0.7463  0.7487
Ge  0.0000  0.5000  0.0000
Ge  0.1398  0.6811  0.5026
Ge  0.3189  0.8602  0.9974
Ge  0.5000  0.0000  0.5000
Ge  0.6811  0.1398  0.0026
Ge  0.8602  0.3189  0.4974
Pt  0.0222  0.8590  0.0766
Pt  0.1410  0.9778  0.4234
Pt  0.1945  0.3593  0.5803
Pt  0.2023  0.5865  0.2576
Pt  0.2961  0.4753  0.9213
Pt  0.3593  0.1945  0.0803
Pt  0.3660  0.6340  0.7500
Pt  0.4135  0.7977  0.2424
Pt  0.4753  0.2961  0.4213
Pt  0.5247  0.7039  0.5787
Pt  0.5865  0.2023  0.7576
Pt  0.6340  0.3660  0.2500
Pt  0.6407  0.8055  0.9197
Pt  0.7039  0.5247  0.0787
Pt  0.7977  0.4135  0.7424
Pt  0.8055  0.6407  0.4197
Pt  0.8590  0.0222  0.5766
Pt  0.9778  0.1410  0.9234

Main lines, in order of rising 2θ (5 to 70 degrees two-theta):
Position (°2θ)  I_rel
35.81  11.5
37.55  19.1
37.67  100.0
37.82  50.3
38.86  14.1
39.89  70.7
40.06  32.3
46.54  11.0
56.05  10.7
61.63  10.9

***

Structure and calculated powder X-ray diffraction pattern of Ir2Ru2Rh7 (the PBE geometry in Alexandria; Cu Kα (weighted mean of Kα1 and Kα2)).
Peak positions follow from Bragg's law for the DFT cell and can differ from measured ones.

Structural model:
Unit cell a=5.0376 b=5.0376 c=6.5178 alpha=97.14 beta=97.14 gamma=92.81
Element x y z (fractional)
Ir  0.0980  0.0980  0.3462
Ir  0.9020  0.9020  0.6538
Ru  0.1835  0.8165  0.0000
Ru  0.8165  0.1835  0.0000
Rh  0.0325  0.4170  0.6951
Rh  0.3388  0.3388  0.0757
Rh  0.4170  0.0325  0.6951
Rh  0.5000  0.5000  0.5000
Rh  0.5830  0.9675  0.3049
Rh  0.6612  0.6612  0.9243
Rh  0.9675  0.5830  0.3049

Main lines, in order of rising 2θ (5 to 70 degrees two-theta):
Position (°2θ)  I_rel
17.78  38.2
24.00  22.5
40.50  81.4
41.49  95.0
41.98  49.5
42.29  41.8
42.70  100.0
42.92  90.3
43.84  64.9
47.35  42.6

***

Structure and calculated powder X-ray diffraction pattern of Pr4TlAuO (the PBE geometry in Alexandria; Cu Kα (weighted mean of Kα1 and Kα2)).
Peak positions follow from Bragg's law for the DFT cell and can differ from measured ones.

Structural model:
Unit cell a=8.7014 b=8.7014 c=7.0052 alpha=90.00 beta=90.00 gamma=132.73
Element x y z (fractional)
Pr  0.0000  0.5000  0.0000
Pr  0.0000  0.5000  0.5000
Pr  0.0605  0.9395  0.7500
Pr  0.4205  0.5795  0.7500
Pr  0.5000  0.0000  0.0000
Pr  0.5000  0.0000  0.5000
Pr  0.5795  0.4205  0.2500
Pr  0.9395  0.0605  0.2500
Tl  0.3849  0.6151  0.2500
Tl  0.6151  0.3849  0.7500
Au  0.1222  0.8778  0.2500
Au  0.8778  0.1222  0.7500
O  0.2577  0.7423  0.7500
O  0.7423  0.2577  0.2500

Main lines, in order of rising 2θ (5 to 70 degrees two-theta):
Position (°2θ)  I_rel
25.43  18.0
25.54  17.8
27.87  76.9
33.44  43.2
33.73  20.1
34.12  100.0
36.35  80.7
50.43  25.7
63.88  22.9
64.05  16.6

***

Structure and calculated powder X-ray diffraction pattern of CdAg2As2 (the PBE geometry in Alexandria; Cu Kα (weighted mean of Kα1 and Kα2)).
Peak positions follow from Bragg's law for the DFT cell and can differ from measured ones.

Structural model:
Unit cell a=4.4019 b=4.4019 c=11.2080 alpha=90.00 beta=90.00 gamma=90.00
Element x y z (fractional)
Cd  0.0000  0.0000  0.0000
Cd  0.5000  0.5000  0.5000
Ag  0.0000  0.5000  0.2500
Ag  0.0000  0.5000  0.7500
Ag  0.5000  0.0000  0.2500
Ag  0.5000  0.0000  0.7500
As  0.0000  0.0000  0.3902
As  0.0000  0.0000  0.6098
As  0.5000  0.5000  0.1098
As  0.5000  0.5000  0.8902

Main lines, in order of rising 2θ (5 to 70 degrees two-theta):
Position (°2θ)  I_rel
31.41  29.7
32.92  100.0
41.01  48.4
43.45  21.5
45.40  20.2
52.55  13.4
57.54  9.0
59.39  15.5
62.82  14.9
69.59  20.9